[1]
Diffraction record for Th2Ga5Ni5. The PXRD pattern is theoretical, not measured: it uses a DFT-relaxed cell (GGA-PBE, OQMD) and Cu Kα, 1.54184 Å.
Lines closer than 0.1° are merged.

Largest 6 diffraction maxima, by intensity, 5° ≤ 2θ ≤ 70°:
| 2θ/deg | d [Å] | I (rel.) | (hkl) |
| --- | --- | --- | --- |
| 41.2 | 2.193 | 100 | 1 1 3 |
| 29.4 | 3.041 | 72 | 1 1 1 |
| 40.9 | 2.205 | 53 | 1 2 0 |
| 40.0 | 2.255 | 42 | 0 2 2 |
| 44.0 | 2.059 | 38 | 2 0 0 |
| 34.6 | 2.590 | 36 | 0 1 3 |

Structural model:
```
data_Th2Ga5Ni5
_chemical_formula_sum 'Th2 Ga5 Ni5'
_space_group_name_H-M_alt 'P m m m'
_space_group_IT_number 47
_cell_length_a 4.118
_cell_length_b 5.222
_cell_length_c 8.950
_cell_angle_alpha 90.00
_cell_angle_beta 90.00
_cell_angle_gamma 90.00
loop_
_space_group_symop_operation_xyz
'x,y,z'
'-x,-y,-z'
'-x,-y,z'
'x,y,-z'
'x,-y,-z'
'-x,y,z'
'-x,y,-z'
'x,-y,z'
loop_
_atom_site_label
_atom_site_type_symbol
_atom_site_fract_x
_atom_site_fract_y
_atom_site_fract_z
Th1 Th 0.000 0.000 0.000
Th2 Th 0.000 0.500 0.500
Ga1 Ga 0.500 0.000 0.500
Ga2 Ga 0.500 0.251 0.237
Ni1 Ni 0.000 0.000 0.336
Ni2 Ni 0.000 0.500 0.173
Ni3 Ni 0.500 0.500 0.000
```

[2]
Diffraction record for Lu4ZnCoC2. The PXRD pattern is theoretical, not measured: it uses a DFT-relaxed cell (GGA-PBE, OQMD) and Cu Kα, 1.54184 Å.
Lines closer than 0.1° are merged.

Largest 6 diffraction maxima, by intensity, 5° ≤ 2θ ≤ 70°:
| 2θ/deg | d [Å] | I (rel.) | (hkl) |
| --- | --- | --- | --- |
| 35.4 | 2.537 | 100 | 1 0 3 |
| 29.6 | 3.020 | 27 | 1 0 0 |
| 52.5 | 1.744 | 26 | 1 1 0 |
| 64.9 | 1.437 | 17 | 2 0 3 |
| 30.3 | 2.952 | 16 | 1 0 1 |
| 67.0 | 1.398 | 13 | 1 1 6 |

Structural model:
```
data_Lu4ZnCoC2
_chemical_formula_sum 'Lu4 Zn1 Co1 C2'
_space_group_name_H-M_alt 'P -6 m 2'
_space_group_IT_number 187
_space_group_name_Hall 'P -6 2'
_cell_length_a 3.4873
_cell_length_b 3.4873
_cell_length_c 14.0245
_cell_angle_alpha 90.00
_cell_angle_beta 90.00
_cell_angle_gamma 120.00
loop_
_atom_site_label
_atom_site_type_symbol
_atom_site_fract_x
_atom_site_fract_y
_atom_site_fract_z
Lu1 Lu 0.0000 0.0000 0.1386
Lu2 Lu 0.6667 0.3333 0.3268
Zn1 Zn 0.0000 0.0000 0.5000
Co1 Co 0.6667 0.3333 0.0000
C1 C 0.3333 0.6667 0.2382
```

[3]
Diffraction record for AcGaPt. The PXRD pattern is theoretical, not measured: it uses a DFT-relaxed cell (GGA-PBE, OQMD) and Cu Kα, 1.54184 Å.
Lines closer than 0.1° are merged.

Largest 6 diffraction maxima, by intensity, 5° ≤ 2θ ≤ 70°:
| 2θ/deg | d [Å] | I (rel.) | (hkl) |
| --- | --- | --- | --- |
| 31.2 | 2.871 | 100 | 1 0 1 |
| 40.0 | 2.255 | 45 | 1 1 0 |
| 59.9 | 1.544 | 28 | 1 1 2 |
| 51.5 | 1.773 | 25 | 2 0 1 |
| 67.1 | 1.394 | 23 | 2 1 1 |
| 22.8 | 3.906 | 14 | 1 0 0 |

Structural model:
```
data_AcGaPt
_chemical_formula_sum 'Ac1 Ga1 Pt1'
_space_group_name_H-M_alt 'P -6 m 2'
_space_group_IT_number 187
_space_group_name_Hall 'P -6 2'
_cell_length_a 4.5102
_cell_length_b 4.5102
_cell_length_c 4.2345
_cell_angle_alpha 90.00
_cell_angle_beta 90.00
_cell_angle_gamma 120.00
loop_
_atom_site_label
_atom_site_type_symbol
_atom_site_fract_x
_atom_site_fract_y
_atom_site_fract_z
Ac1 Ac 0.0000 0.0000 0.0000
Ga1 Ga 0.3333 0.6667 0.5000
Pt1 Pt 0.6667 0.3333 0.5000
```

[4]
Diffraction record for La2FeCuN6. The PXRD pattern is theoretical, not measured: it uses a DFT-relaxed cell (GGA-PBE, OQMD) and Cu Kα, 1.54184 Å.
Lines closer than 0.1° are merged.

Largest 6 diffraction maxima, by intensity, 5° ≤ 2θ ≤ 70°:
| 2θ/deg | d [Å] | I (rel.) | (hkl) |
| --- | --- | --- | --- |
| 32.7 | 2.742 | 100 | 1 0 -1 |
| 33.0 | 2.715 | 98 | 1 2 1 |
| 32.0 | 2.793 | 51 | 0 1 -1 |
| 33.1 | 2.703 | 48 | 2 1 1 |
| 46.7 | 1.947 | 28 | 2 0 2 |
| 46.9 | 1.939 | 28 | 2 2 0 |

Structural model:
```
data_La2FeCuN6
_chemical_formula_sum 'La2 Fe1 Cu1 N6'
_space_group_name_H-M_alt 'P -1'
_space_group_IT_number 2
_cell_length_a 5.408
_cell_length_b 5.427
_cell_length_c 5.439
_cell_angle_alpha 61.88
_cell_angle_beta 60.69
_cell_angle_gamma 60.90
loop_
_space_group_symop_operation_xyz
'x,y,z'
'-x,-y,-z'
loop_
_atom_site_label
_atom_site_type_symbol
_atom_site_fract_x
_atom_site_fract_y
_atom_site_fract_z
La1 La 0.250 0.249 0.250
Fe1 Fe 0.000 0.000 0.000
Cu1 Cu 0.500 0.500 0.500
N1 N 0.211 0.278 0.779
N2 N 0.247 0.807 0.705
N3 N 0.278 0.737 0.212
```

[5]
Diffraction record for Zr3Bi4Pt3. The PXRD pattern is theoretical, not measured: it uses a DFT-relaxed cell (GGA-PBE, OQMD) and Cu Kα, 1.54184 Å.
Lines closer than 0.1° are merged.

Largest 6 diffraction maxima, by intensity, 5° ≤ 2θ ≤ 70°:
| 2θ/deg | d [Å] | I (rel.) | (hkl) |
| --- | --- | --- | --- |
| 34.7 | 2.583 | 100 | 3 2 1 |
| 22.5 | 3.945 | 26 | 2 1 1 |
| 41.8 | 2.161 | 22 | 4 2 0 |
| 48.0 | 1.895 | 22 | 5 1 0 |
| 51.8 | 1.764 | 17 | 5 2 1 |
| 46.0 | 1.973 | 14 | 4 2 2 |

Structural model:
```
data_Zr3Bi4Pt3
_chemical_formula_sum 'Zr12 Bi16 Pt12'
_space_group_name_H-M_alt 'I -4 3 d'
_space_group_IT_number 220
_space_group_name_Hall 'I -4bd 2c 3'
_cell_length_a 9.664
_cell_length_b 9.664
_cell_length_c 9.664
_cell_angle_alpha 90.00
_cell_angle_beta 90.00
_cell_angle_gamma 90.00
loop_
_atom_site_label
_atom_site_type_symbol
_atom_site_fract_x
_atom_site_fract_y
_atom_site_fract_z
Zr1 Zr 0.000 0.250 0.375
Bi1 Bi 0.097 0.097 0.097
Pt1 Pt 0.000 0.250 0.875
```

[6]
Diffraction record for Li2Au. The PXRD pattern is theoretical, not measured: it uses a DFT-relaxed cell (GGA-PBE, OQMD) and Cu Kα, 1.54184 Å.
Lines closer than 0.1° are merged.

Largest 6 diffraction maxima, by intensity, 5° ≤ 2θ ≤ 70°:
| 2θ/deg | d [Å] | I (rel.) | (hkl) |
| --- | --- | --- | --- |
| 26.6 | 3.357 | 100 | 0 1 1 |
| 21.4 | 4.147 | 84 | 0 0 2 |
| 32.0 | 2.795 | 63 | 1 0 1 |
| 44.9 | 2.017 | 51 | 1 1 2 |
| 39.0 | 2.309 | 43 | 1 1 0 |
| 40.9 | 2.209 | 38 | 0 1 3 |

Structural model:
```
data_Li2Au
_chemical_formula_sum 'Li4 Au2'
_space_group_name_H-M_alt 'I m m m'
_space_group_IT_number 71
_space_group_name_Hall '-I 2 2'
_cell_length_a 2.969
_cell_length_b 3.671
_cell_length_c 8.294
_cell_angle_alpha 90.00
_cell_angle_beta 90.00
_cell_angle_gamma 90.00
loop_
_atom_site_label
_atom_site_type_symbol
_atom_site_fract_x
_atom_site_fract_y
_atom_site_fract_z
Li1 Li 0.000 0.000 0.159
Au1 Au 0.000 0.000 0.500
```